Structure and simulated XRD peak list of GdWBrO4 (the GGA+U geometry in Alexandria; Cu Kα X-rays).
No peak broadening, texture or thermal motion is included.

Main lines, in order of rising 2θ (5° ≤ 2θ ≤ 70°):
2θ/deg	intensity
13.3	24
24.1	100
25.4	49
26.8	38
30.0	30
32.6	24

Structure:
abc: 7.1269 7.4455 11.1682
angles: 102.96 108.58 94.67
Space group P-1 (No. 2)
One atom of each set of equivalent atoms:
1 Gd 0.1272 0.3376 0.2331
2 Gd 0.1662 0.0995 0.7288
3 W 0.2247 0.8169 0.1333
4 W 0.2621 0.5819 0.6249
5 Br 0.2349 0.9774 0.4811
6 Br 0.3029 0.2730 0.0128
7 O 0.1001 0.0109 0.1908
8 O 0.1504 0.7411 0.9575
9 O 0.1524 0.6289 0.1965
10 O 0.1566 0.7768 0.7040
11 O 0.1586 0.4986 0.4467
12 O 0.2244 0.3915 0.6948
13 O 0.4713 0.3528 0.3310
14 O 0.4933 0.8865 0.2022